No. 1
Cu11Ag29: theoretical X-ray powder pattern (Cu Kα X-rays), based on a cell relaxed with PBE.
Neutral-atom scattering factors, no anomalous dispersion.

Cell and atoms:
Cell: 5.731 9.820 12.076 Å, 106.28 90.06 90.00°
Space group P1 (No. 1)
Unique sites:
Cu (0.000, 0.000, 0.000)
Cu (0.001, 0.804, 0.407)
Cu (0.258, 0.759, 0.007)
Cu (0.509, 0.903, 0.199)
Cu (0.521, 0.301, 0.395)
Cu (0.756, 0.150, 0.204)
Cu (0.758, 0.549, 0.402)
Cu (0.764, 0.951, 0.605)
Cu (0.765, 0.860, 0.804)
Cu (0.992, 0.300, 0.395)
Cu (0.997, 0.091, 0.801)
Ag (0.002, 0.400, 0.207)
Ag (0.004, 0.604, 0.800)
Ag (0.006, 0.906, 0.194)
Ag (0.012, 0.507, 0.005)
Ag (0.243, 0.858, 0.813)
Ag (0.245, 0.952, 0.603)
Ag (0.252, 0.240, 0.997)
Ag (0.254, 0.551, 0.403)
Ag (0.255, 0.050, 0.396)
Ag (0.255, 0.343, 0.799)
Ag (0.255, 0.443, 0.592)
Ag (0.258, 0.153, 0.205)
Ag (0.261, 0.666, 0.207)
Ag (0.503, 0.606, 0.804)
Ag (0.506, 0.505, 0.005)
Ag (0.509, 0.194, 0.595)
Ag (0.509, 0.709, 0.609)
Ag (0.510, 0.997, 0.009)
Ag (0.512, 0.400, 0.207)
Ag (0.519, 0.806, 0.409)
Ag (0.520, 0.090, 0.797)
Ag (0.754, 0.447, 0.589)
Ag (0.757, 0.052, 0.393)
Ag (0.759, 0.348, 0.802)
Ag (0.760, 0.756, 0.001)
Ag (0.762, 0.242, 0.003)
Ag (0.762, 0.660, 0.212)
Ag (0.995, 0.706, 0.599)
Ag (0.999, 0.195, 0.599)

Largest 10 diffraction maxima, in order of rising 2θ, 2θ from 10° to 90°:
two_theta, intensity
38.68, 100
38.81, 98
44.82, 32
44.87, 32
45.43, 30
65.70, 19
65.79, 18
78.43, 17
78.69, 16
79.40, 10


No. 2
Cu3Ag7: theoretical X-ray powder pattern (Cu Kα X-rays), based on a cell relaxed with PBE.
Neutral-atom scattering factors, no anomalous dispersion.

Cell and atoms:
Cell: 2.8967 2.8967 67.4586 Å, 90.00 90.00 120.00°
Space group R-3m (No. 166, hexagonal axes)
Unique sites:
Cu (0.0000, 0.0000, 0.0000)
Cu (0.0000, 0.0000, 0.3967)
Ag (0.0000, 0.0000, 0.0950)
Ag (0.0000, 0.0000, 0.2024)
Ag (0.0000, 0.0000, 0.3016)
Ag (0.0000, 0.0000, 0.5000)

Largest 10 diffraction maxima, in order of rising 2θ, 2θ from 10° to 90°:
two_theta, intensity
35.94, 6
38.28, 100
40.10, 22
42.64, 6
45.04, 55
64.32, 21
66.85, 10
77.39, 12
78.56, 16
81.95, 9


No. 3
Cu4Ag5: theoretical X-ray powder pattern (Cu Kα X-rays), based on a cell relaxed with PBE.
Neutral-atom scattering factors, no anomalous dispersion.

Cell and atoms:
Cell: 3.980 12.013 11.506 Å, 90.00 90.00 90.00°
Space group Fmm2 (No. 42)
Unique sites:
Cu (0.000, 0.000, 0.000)
Cu (0.000, 0.000, 0.350)
Cu (0.000, 0.162, 0.849)
Ag (0.000, 0.000, 0.685)
Ag (0.000, 0.163, 0.504)
Ag (0.000, 0.166, 0.188)

Largest 10 diffraction maxima, in order of rising 2θ, 2θ from 10° to 90°:
two_theta, intensity
39.64, 100
45.29, 17
45.58, 17
47.41, 14
66.21, 10
67.87, 9
79.81, 11
80.22, 11
82.90, 9
85.40, 9


Please write out number 1 again, unchanged.
Cu11Ag29: theoretical X-ray powder pattern (Cu Kα X-rays), based on a cell relaxed with PBE.
Neutral-atom scattering factors, no anomalous dispersion.

Cell and atoms:
Cell: 5.731 9.820 12.076 Å, 106.28 90.06 90.00°
Space group P1 (No. 1)
Unique sites:
Cu (0.000, 0.000, 0.000)
Cu (0.001, 0.804, 0.407)
Cu (0.258, 0.759, 0.007)
Cu (0.509, 0.903, 0.199)
Cu (0.521, 0.301, 0.395)
Cu (0.756, 0.150, 0.204)
Cu (0.758, 0.549, 0.402)
Cu (0.764, 0.951, 0.605)
Cu (0.765, 0.860, 0.804)
Cu (0.992, 0.300, 0.395)
Cu (0.997, 0.091, 0.801)
Ag (0.002, 0.400, 0.207)
Ag (0.004, 0.604, 0.800)
Ag (0.006, 0.906, 0.194)
Ag (0.012, 0.507, 0.005)
Ag (0.243, 0.858, 0.813)
Ag (0.245, 0.952, 0.603)
Ag (0.252, 0.240, 0.997)
Ag (0.254, 0.551, 0.403)
Ag (0.255, 0.050, 0.396)
Ag (0.255, 0.343, 0.799)
Ag (0.255, 0.443, 0.592)
Ag (0.258, 0.153, 0.205)
Ag (0.261, 0.666, 0.207)
Ag (0.503, 0.606, 0.804)
Ag (0.506, 0.505, 0.005)
Ag (0.509, 0.194, 0.595)
Ag (0.509, 0.709, 0.609)
Ag (0.510, 0.997, 0.009)
Ag (0.512, 0.400, 0.207)
Ag (0.519, 0.806, 0.409)
Ag (0.520, 0.090, 0.797)
Ag (0.754, 0.447, 0.589)
Ag (0.757, 0.052, 0.393)
Ag (0.759, 0.348, 0.802)
Ag (0.760, 0.756, 0.001)
Ag (0.762, 0.242, 0.003)
Ag (0.762, 0.660, 0.212)
Ag (0.995, 0.706, 0.599)
Ag (0.999, 0.195, 0.599)

Largest 10 diffraction maxima, in order of rising 2θ, 2θ from 10° to 90°:
two_theta, intensity
38.68, 100
38.81, 98
44.82, 32
44.87, 32
45.43, 30
65.70, 19
65.79, 18
78.43, 17
78.69, 16
79.40, 10